The following is a calculated powder XRD pattern of Tb2PmDy5In. It was derived from DFT lattice parameters and positions (GGA-PBE), using CuKα.
No peak broadening, texture or thermal motion is included.

Crystal structure
```
data_Tb2PmDy5In
_chemical_formula_sum 'Tb8 Pm4 Dy20 In4'
_space_group_name_H-M_alt 'C m c m'
_space_group_IT_number 63
_space_group_name_Hall '-C 2c 2'
_cell_length_a 5.390
_cell_length_b 20.043
_cell_length_c 10.570
_cell_angle_alpha 90.00
_cell_angle_beta 90.00
_cell_angle_gamma 90.00
loop_
_atom_site_label
_atom_site_type_symbol
_atom_site_fract_x
_atom_site_fract_y
_atom_site_fract_z
Tb1 Tb 0.000 0.116 0.043
Pm1 Pm 0.000 0.208 0.750
Dy1 Dy 0.000 0.012 0.750
Dy2 Dy 0.000 0.291 0.049
Dy3 Dy 0.000 0.386 0.750
Dy4 Dy 0.000 0.500 0.000
In1 In 0.000 0.405 0.250
```

Largest 10 diffraction maxima, sorted by position, 15 to 90 degrees two-theta:
hkl 1 3 2, 2θ 27.1, intensity 9.9
hkl 0 6 1, 2θ 28.0, intensity 12.6
hkl 1 1 3, 2θ 30.6, intensity 28.8
hkl 1 5 2, 2θ 32.6, intensity 100.0
hkl 2 0 0, 2θ 33.2, intensity 31.6
hkl 0 0 4, 2θ 33.9, intensity 15.7
hkl 2 0 4, 2θ 48.2, intensity 11.8
hkl 3 5 2, 2θ 59.0, intensity 18.3
hkl 1 11 3, 2θ 59.6, intensity 9.2
hkl 2 6 5, 2θ 62.4, intensity 9.4

=====

The following is a calculated powder XRD pattern of Pm3Dy3TlIn2. It was derived from DFT lattice parameters and positions (GGA-PBE), using CuKα.
No peak broadening, texture or thermal motion is included.

Crystal structure
```
data_Pm3Dy3TlIn2
_chemical_formula_sum 'Pm3 Dy3 Tl1 In2'
_space_group_name_H-M_alt 'P -6 2 m'
_space_group_IT_number 189
_space_group_name_Hall 'P -6 -2'
_cell_length_a 9.0797
_cell_length_b 9.0797
_cell_length_c 3.7641
_cell_angle_alpha 90.00
_cell_angle_beta 90.00
_cell_angle_gamma 120.00
loop_
_atom_site_label
_atom_site_type_symbol
_atom_site_fract_x
_atom_site_fract_y
_atom_site_fract_z
Pm1 Pm 0.0000 0.7112 0.0000
Dy1 Dy 0.0000 0.3835 0.5000
Tl1 Tl 0.0000 0.0000 0.5000
In1 In 0.3333 0.6667 0.0000
```

Largest 10 diffraction maxima, sorted by position, 15 to 90 degrees two-theta:
hkl 2 1 0, 2θ 30.1, intensity 26.8
hkl 1 1 1, 2θ 30.9, intensity 100.0
hkl 2 0 1, 2θ 32.9, intensity 61.5
hkl 3 0 0, 2θ 34.2, intensity 90.4
hkl 2 1 1, 2θ 38.6, intensity 29.0
hkl 2 2 1, 2θ 46.7, intensity 17.7
hkl 0 0 2, 2θ 48.4, intensity 16.5
hkl 3 2 1, 2θ 56.6, intensity 38.9
hkl 3 0 2, 2θ 60.6, intensity 34.7
hkl 5 0 1, 2θ 64.2, intensity 18.1

=====

The following is a calculated powder XRD pattern of Pr2Dy3In2. It was derived from DFT lattice parameters and positions (GGA-PBE), using CuKα.
No peak broadening, texture or thermal motion is included.

Crystal structure
```
data_Pr2Dy3In2
_chemical_formula_sum 'Pr6 Dy9 In6'
_space_group_name_H-M_alt 'R -3 m'
_space_group_IT_number 166
_space_group_name_Hall '-R 3 2"'
_cell_length_a 5.4818
_cell_length_b 5.4818
_cell_length_c 24.5097
_cell_angle_alpha 90.00
_cell_angle_beta 90.00
_cell_angle_gamma 120.00
loop_
_atom_site_label
_atom_site_type_symbol
_atom_site_fract_x
_atom_site_fract_y
_atom_site_fract_z
Pr1 Pr 0.0000 0.0000 0.0783
Dy1 Dy 0.0000 0.0000 0.3477
Dy2 Dy 0.0000 0.0000 0.5000
In1 In 0.0000 0.0000 0.2179
```

Largest 10 diffraction maxima, sorted by position, 15 to 90 degrees two-theta:
hkl 1 0 7, 2θ 31.8, intensity 98.8
hkl 1 1 0, 2θ 32.7, intensity 100.0
hkl 0 2 7, 2θ 46.2, intensity 34.8
hkl 0 1 14, 2θ 56.0, intensity 14.9
hkl 2 1 7, 2θ 57.7, intensity 35.7
hkl 3 0 0, 2θ 58.3, intensity 18.9
hkl 2 0 14, 2θ 66.3, intensity 8.9
hkl 2 2 0, 2θ 68.5, intensity 11.6
hkl 1 2 14, 2θ 75.9, intensity 12.0
hkl 1 3 7, 2θ 77.4, intensity 15.1

=====

The following is a calculated powder XRD pattern of Pr2Dy3In7. It was derived from DFT lattice parameters and positions (GGA-PBE), using CuKα.
No peak broadening, texture or thermal motion is included.

Crystal structure
```
data_Pr2Dy3In7
_chemical_formula_sum 'Pr4 Dy6 In14'
_space_group_name_H-M_alt 'C m m m'
_space_group_IT_number 65
_space_group_name_Hall '-C 2 2'
_cell_length_a 5.218
_cell_length_b 25.723
_cell_length_c 5.368
_cell_angle_alpha 90.00
_cell_angle_beta 90.00
_cell_angle_gamma 90.00
loop_
_atom_site_label
_atom_site_type_symbol
_atom_site_fract_x
_atom_site_fract_y
_atom_site_fract_z
Pr1 Pr 0.000 0.146 0.000
Dy1 Dy 0.000 0.351 0.500
Dy2 Dy 0.000 0.500 0.500
In1 In 0.000 0.000 0.000
In2 In 0.000 0.074 0.500
In3 In 0.000 0.278 0.000
In4 In 0.000 0.430 0.000
```

Largest 10 diffraction maxima, sorted by position, 15 to 90 degrees two-theta:
hkl 0 0 2, 2θ 33.4, intensity 27.5
hkl 1 7 1, 2θ 34.2, intensity 100.0
hkl 2 0 0, 2θ 34.4, intensity 25.5
hkl 2 0 2, 2θ 48.7, intensity 18.9
hkl 1 7 3, 2θ 60.2, intensity 19.0
hkl 0 14 2, 2θ 61.1, intensity 8.1
hkl 3 7 1, 2θ 61.5, intensity 17.8
hkl 2 14 0, 2θ 61.8, intensity 7.8
hkl 2 14 2, 2θ 72.0, intensity 10.0
hkl 3 7 3, 2θ 81.5, intensity 8.0

=====

The following is a calculated powder XRD pattern of PrDy5In3. It was derived from DFT lattice parameters and positions (GGA-PBE), using CuKα.
No peak broadening, texture or thermal motion is included.

Crystal structure
```
data_PrDy5In3
_chemical_formula_sum 'Pr2 Dy10 In6'
_space_group_name_H-M_alt 'P 63/m c m'
_space_group_IT_number 193
_space_group_name_Hall '-P 6c 2'
_cell_length_a 9.4061
_cell_length_b 9.4061
_cell_length_c 6.7612
_cell_angle_alpha 90.00
_cell_angle_beta 90.00
_cell_angle_gamma 120.00
loop_
_atom_site_label
_atom_site_type_symbol
_atom_site_fract_x
_atom_site_fract_y
_atom_site_fract_z
Pr1 Pr 0.0000 0.0000 0.0000
Dy1 Dy 0.0000 0.3303 0.2500
Dy2 Dy 0.3333 0.6667 0.0000
In1 In 0.0000 0.3407 0.7500
```

Largest 10 diffraction maxima, sorted by position, 15 to 90 degrees two-theta:
hkl 1 1 2, 2θ 32.6, intensity 95.2
hkl 3 0 0, 2θ 33.0, intensity 100.0
hkl 2 2 2, 2θ 47.1, intensity 34.1
hkl 0 0 4, 2θ 54.3, intensity 8.1
hkl 4 1 2, 2θ 58.7, intensity 35.1
hkl 3 3 0, 2θ 58.9, intensity 18.7
hkl 3 0 4, 2θ 65.0, intensity 27.9
hkl 6 0 0, 2θ 69.2, intensity 11.4
hkl 5 2 2, 2θ 78.6, intensity 14.9
hkl 3 3 4, 2θ 84.2, intensity 13.7

=====

The following is a calculated powder XRD pattern of Pr14DyIn. It was derived from DFT lattice parameters and positions (GGA-PBE), using CuKα.
No peak broadening, texture or thermal motion is included.

Crystal structure
```
data_Pr14DyIn
_chemical_formula_sum 'Pr28 Dy2 In2'
_space_group_name_H-M_alt 'A m m 2'
_space_group_IT_number 38
_space_group_name_Hall 'A 2 -2'
_cell_length_a 10.395
_cell_length_b 10.342
_cell_length_c 10.344
_cell_angle_alpha 90.00
_cell_angle_beta 90.00
_cell_angle_gamma 90.00
loop_
_atom_site_label
_atom_site_type_symbol
_atom_site_fract_x
_atom_site_fract_y
_atom_site_fract_z
Pr1 Pr 0.000 0.000 0.000
Pr2 Pr 0.000 0.000 0.499
Pr3 Pr 0.000 0.250 0.250
Pr4 Pr 0.256 0.000 0.247
Pr5 Pr 0.256 0.000 0.752
Pr6 Pr 0.256 0.247 0.000
Pr7 Pr 0.500 0.250 0.250
Dy1 Dy 0.500 0.000 0.500
In1 In 0.500 0.000 0.999
```

Largest 10 diffraction maxima, sorted by position, 15 to 90 degrees two-theta:
hkl 2 2 2, 2θ 29.9, intensity 100.0
hkl 4 0 0, 2θ 34.5, intensity 16.9
hkl 0 4 0, 2θ 34.7, intensity 33.7
hkl 4 4 0, 2θ 49.7, intensity 24.0
hkl 0 4 4, 2θ 49.9, intensity 12.0
hkl 6 2 2, 2θ 59.0, intensity 14.2
hkl 2 6 2, 2θ 59.2, intensity 28.6
hkl 4 4 4, 2θ 62.1, intensity 12.3
hkl 6 6 2, 2θ 80.8, intensity 11.4
hkl 2 6 6, 2θ 81.0, intensity 5.8

=====

The following is a calculated powder XRD pattern of Pr6Dy5In. It was derived from DFT lattice parameters and positions (GGA-PBE), using CuKα.
No peak broadening, texture or thermal motion is included.

Crystal structure
```
data_Pr6Dy5In
_chemical_formula_sum 'Pr12 Dy10 In2'
_space_group_name_H-M_alt 'I m m m'
_space_group_IT_number 71
_space_group_name_Hall '-I 2 2'
_cell_length_a 5.082
_cell_length_b 10.057
_cell_length_c 15.426
_cell_angle_alpha 90.00
_cell_angle_beta 90.00
_cell_angle_gamma 90.00
loop_
_atom_site_label
_atom_site_type_symbol
_atom_site_fract_x
_atom_site_fract_y
_atom_site_fract_z
Pr1 Pr 0.000 0.245 0.000
Pr2 Pr 0.000 0.255 0.335
Dy1 Dy 0.000 0.000 0.167
Dy2 Dy 0.000 0.000 0.500
Dy3 Dy 0.000 0.500 0.164
In1 In 0.000 0.500 0.500
```

Largest 10 diffraction maxima, sorted by position, 15 to 90 degrees two-theta:
hkl 1 2 3, 2θ 30.5, intensity 100.0
hkl 0 0 6, 2θ 34.9, intensity 17.4
hkl 2 0 0, 2θ 35.3, intensity 16.9
hkl 0 4 0, 2θ 35.7, intensity 16.2
hkl 2 0 6, 2θ 50.5, intensity 12.2
hkl 0 4 6, 2θ 50.8, intensity 11.9
hkl 1 2 9, 2θ 59.8, intensity 14.5
hkl 3 2 3, 2θ 60.4, intensity 14.2
hkl 1 6 3, 2θ 60.9, intensity 13.6
hkl 2 4 6, 2θ 63.4, intensity 12.2

=====

The following is a calculated powder XRD pattern of Pr3DyIn2. It was derived from DFT lattice parameters and positions (GGA-PBE), using CuKα.
No peak broadening, texture or thermal motion is included.

Crystal structure
```
data_Pr3DyIn2
_chemical_formula_sum 'Pr6 Dy2 In4'
_space_group_name_H-M_alt 'P m c 21'
_space_group_IT_number 26
_space_group_name_Hall 'P 2c -2'
_cell_length_a 5.350
_cell_length_b 10.170
_cell_length_c 6.880
_cell_angle_alpha 90.00
_cell_angle_beta 90.00
_cell_angle_gamma 90.00
loop_
_atom_site_label
_atom_site_type_symbol
_atom_site_fract_x
_atom_site_fract_y
_atom_site_fract_z
Pr1 Pr 0.000 0.037 0.000
Pr2 Pr 0.000 0.327 0.341
Pr3 Pr 0.500 0.182 0.729
Dy1 Dy 0.500 0.461 0.066
In1 In 0.000 0.357 0.827
In2 In 0.500 0.147 0.246
```

Largest 10 diffraction maxima, sorted by position, 15 to 90 degrees two-theta:
hkl 1 0 2, 2θ 30.9, intensity 35.1
hkl 1 3 0, 2θ 31.2, intensity 100.0
hkl 0 2 2, 2θ 31.4, intensity 35.0
hkl 1 1 2, 2θ 32.2, intensity 85.9
hkl 2 0 0, 2θ 33.5, intensity 54.1
hkl 0 3 2, 2θ 37.2, intensity 17.0
hkl 2 2 2, 2θ 46.6, intensity 29.3
hkl 2 4 2, 2θ 56.7, intensity 20.2
hkl 3 3 0, 2θ 58.5, intensity 21.7
hkl 3 1 2, 2θ 59.0, intensity 15.0

=====

The following is a calculated powder XRD pattern of PrDy4In4. It was derived from DFT lattice parameters and positions (GGA-PBE), using CuKα.
No peak broadening, texture or thermal motion is included.

Crystal structure
```
data_PrDy4In4
_chemical_formula_sum 'Pr2 Dy8 In8'
_space_group_name_H-M_alt 'P 42/n m c'
_space_group_IT_number 137
_cell_length_a 7.284
_cell_length_b 7.284
_cell_length_c 10.572
_cell_angle_alpha 90.00
_cell_angle_beta 90.00
_cell_angle_gamma 90.00
loop_
_space_group_symop_operation_xyz
'x,y,z'
'-x,-y,-z'
'-y+1/2,x,z+1/2'
'y+1/2,-x,-z+1/2'
'-x+1/2,-y+1/2,z'
'x+1/2,y+1/2,-z'
'y,-x+1/2,z+1/2'
'-y,x+1/2,-z+1/2'
'x+1/2,-y,-z'
'-x+1/2,y,z'
'-y,-x,-z+1/2'
'y,x,z+1/2'
'-x,y+1/2,-z'
'x,-y+1/2,z'
'y+1/2,x+1/2,-z+1/2'
'-y+1/2,-x+1/2,z+1/2'
loop_
_atom_site_label
_atom_site_type_symbol
_atom_site_fract_x
_atom_site_fract_y
_atom_site_fract_z
Pr1 Pr 0.250 0.750 0.250
Dy1 Dy 0.017 0.250 0.160
In1 In 0.039 0.250 0.458
```

Largest 10 diffraction maxima, sorted by position, 15 to 90 degrees two-theta:
hkl 1 1 2, 2θ 24.1, intensity 13.5
hkl 1 0 3, 2θ 28.1, intensity 19.4
hkl 2 1 1, 2θ 28.7, intensity 100.0
hkl 2 2 0, 2θ 34.8, intensity 47.6
hkl 2 0 3, 2θ 35.4, intensity 98.4
hkl 1 0 4, 2θ 36.2, intensity 29.6
hkl 2 1 4, 2θ 44.1, intensity 14.6
hkl 4 0 0, 2θ 50.1, intensity 26.3
hkl 3 2 4, 2θ 57.4, intensity 22.2
hkl 4 2 3, 2θ 62.9, intensity 34.9

=====

The following is a calculated powder XRD pattern of Dy5In4Pt2. It was derived from DFT lattice parameters and positions (GGA-PBE), using CuKα.
No peak broadening, texture or thermal motion is included.

Crystal structure
```
data_Dy5In4Pt2
_chemical_formula_sum 'Dy10 In8 Pt4'
_space_group_name_H-M_alt 'P b a m'
_space_group_IT_number 55
_space_group_name_Hall '-P 2 2ab'
_cell_length_a 8.098
_cell_length_b 18.250
_cell_length_c 3.653
_cell_angle_alpha 90.00
_cell_angle_beta 90.00
_cell_angle_gamma 90.00
loop_
_atom_site_label
_atom_site_type_symbol
_atom_site_fract_x
_atom_site_fract_y
_atom_site_fract_z
Dy1 Dy 0.000 0.000 0.000
Dy2 Dy 0.115 0.415 0.000
Dy3 Dy 0.244 0.220 0.000
In1 In 0.075 0.852 0.500
In2 In 0.210 0.567 0.500
Pt1 Pt 0.027 0.304 0.500
```

Largest 10 diffraction maxima, sorted by position, 15 to 90 degrees two-theta:
hkl 1 3 0, 2θ 18.2, intensity 19.1
hkl 1 6 0, 2θ 31.4, intensity 24.0
hkl 1 4 1, 2θ 33.3, intensity 78.5
hkl 2 2 1, 2θ 34.5, intensity 100.0
hkl 3 2 0, 2θ 34.7, intensity 37.4
hkl 1 7 0, 2θ 36.2, intensity 67.6
hkl 1 5 1, 2θ 36.5, intensity 53.8
hkl 2 6 0, 2θ 37.0, intensity 22.7
hkl 0 0 2, 2θ 49.9, intensity 29.8
hkl 1 7 2, 2θ 63.2, intensity 15.2

=====

The following is a calculated powder XRD pattern of Dy2In16Pt7. It was derived from DFT lattice parameters and positions (GGA-PBE), using CuKα.
No peak broadening, texture or thermal motion is included.

Crystal structure
```
data_Dy2In16Pt7
_chemical_formula_sum 'Dy4 In32 Pt14'
_space_group_name_H-M_alt 'C m m m'
_space_group_IT_number 65
_space_group_name_Hall '-C 2 2'
_cell_length_a 12.288
_cell_length_b 20.291
_cell_length_c 4.470
_cell_angle_alpha 90.00
_cell_angle_beta 90.00
_cell_angle_gamma 90.00
loop_
_atom_site_label
_atom_site_type_symbol
_atom_site_fract_x
_atom_site_fract_y
_atom_site_fract_z
Dy1 Dy 0.169 0.000 0.000
In1 In 0.000 0.073 0.500
In2 In 0.124 0.162 0.000
In3 In 0.131 0.387 0.000
In4 In 0.131 0.500 0.500
In5 In 0.135 0.278 0.500
Pt1 Pt 0.000 0.276 0.000
Pt2 Pt 0.000 0.500 0.000
Pt3 Pt 0.224 0.107 0.500
```

Largest 10 diffraction maxima, sorted by position, 15 to 90 degrees two-theta:
hkl 2 4 0, 2θ 22.7, intensity 32.5
hkl 2 0 1, 2θ 24.6, intensity 30.0
hkl 1 5 1, 2θ 30.6, intensity 24.1
hkl 0 6 1, 2θ 33.2, intensity 24.9
hkl 0 8 0, 2θ 35.4, intensity 20.1
hkl 3 5 1, 2θ 37.1, intensity 88.0
hkl 4 4 1, 2θ 39.8, intensity 100.0
hkl 0 0 2, 2θ 40.4, intensity 58.6
hkl 1 9 0, 2θ 40.7, intensity 21.5
hkl 7 9 0, 2θ 67.6, intensity 37.8

=====

The following is a calculated powder XRD pattern of Dy6InPt2. It was derived from DFT lattice parameters and positions (GGA-PBE), using CuKα.
No peak broadening, texture or thermal motion is included.

Crystal structure
```
data_Dy6InPt2
_chemical_formula_sum 'Dy24 In4 Pt8'
_space_group_name_H-M_alt 'I m m m'
_space_group_IT_number 71
_space_group_name_Hall '-I 2 2'
_cell_length_a 9.425
_cell_length_b 9.737
_cell_length_c 10.508
_cell_angle_alpha 90.00
_cell_angle_beta 90.00
_cell_angle_gamma 90.00
loop_
_atom_site_label
_atom_site_type_symbol
_atom_site_fract_x
_atom_site_fract_y
_atom_site_fract_z
Dy1 Dy 0.000 0.201 0.236
Dy2 Dy 0.197 0.500 0.170
Dy3 Dy 0.209 0.317 0.500
In1 In 0.000 0.000 0.000
In2 In 0.000 0.000 0.500
Pt1 Pt 0.000 0.340 0.000
Pt2 Pt 0.000 0.500 0.365
```

Largest 10 diffraction maxima, sorted by position, 15 to 90 degrees two-theta:
hkl 2 2 2, 2θ 31.4, intensity 83.0
hkl 2 1 3, 2θ 33.2, intensity 87.2
hkl 1 3 2, 2θ 33.8, intensity 100.0
hkl 2 3 1, 2θ 34.6, intensity 85.6
hkl 3 2 1, 2θ 35.0, intensity 46.1
hkl 4 0 0, 2θ 38.2, intensity 39.7
hkl 3 0 3, 2θ 38.5, intensity 39.7
hkl 0 2 4, 2θ 39.0, intensity 37.0
hkl 2 5 3, 2θ 57.6, intensity 26.9
hkl 5 3 2, 2θ 59.4, intensity 45.3